[1]
Li2Ti3VO8: calculated X-ray diffraction stick pattern (Cu Kα (λ = 1.5418 Å)), based on a GGA+U-relaxed structure.
No peak broadening, texture or thermal motion is included.

Peak list (12 most intense, 2θ from 5° to 70°, in order of rising 2θ)
| Position (°2θ) | intensity |
| --- | --- |
| 18.1 | 73 |
| 19.5 | 100 |
| 25.1 | 33 |
| 32.4 | 33 |
| 35.3 | 59 |
| 36.1 | 40 |
| 39.5 | 45 |
| 44.8 | 66 |
| 51.4 | 25 |
| 54.9 | 20 |
| 59.2 | 48 |
| 62.5 | 44 |

Crystal structure
Cell lengths 5.948, 5.948, 9.812 Å; angles 90.00, 90.00, 120.00 degrees
Sites, in units of the cell vectors:
Li (0.000, 0.000, 0.000)
Li (0.000, 0.000, 0.500)
Li (0.333, 0.667, 0.393)
Li (0.667, 0.333, 0.893)
Ti (0.168, 0.336, 0.716)
Ti (0.168, 0.832, 0.716)
Ti (0.336, 0.168, 0.216)
Ti (0.664, 0.832, 0.716)
Ti (0.832, 0.168, 0.216)
Ti (0.832, 0.664, 0.216)
V (0.333, 0.667, 0.987)
V (0.667, 0.333, 0.487)
O (0.000, 0.000, 0.316)
O (0.000, 0.000, 0.816)
O (0.035, 0.518, 0.831)
O (0.158, 0.316, 0.108)
O (0.158, 0.842, 0.108)
O (0.316, 0.158, 0.608)
O (0.333, 0.667, 0.607)
O (0.482, 0.518, 0.831)
O (0.482, 0.965, 0.831)
O (0.518, 0.035, 0.331)
O (0.518, 0.482, 0.331)
O (0.667, 0.333, 0.107)
O (0.684, 0.842, 0.108)
O (0.842, 0.158, 0.608)
O (0.842, 0.684, 0.608)
O (0.965, 0.482, 0.331)



[2]
LiTi2VO6: calculated X-ray diffraction stick pattern (Cu Kα (λ = 1.5418 Å)), based on a GGA+U-relaxed structure.
No peak broadening, texture or thermal motion is included.

Peak list (12 most intense, 2θ from 5° to 70°, in order of rising 2θ)
| Position (°2θ) | intensity |
| --- | --- |
| 18.4 | 100 |
| 35.0 | 24 |
| 35.4 | 13 |
| 42.6 | 41 |
| 43.6 | 18 |
| 52.5 | 5 |
| 56.5 | 7 |
| 61.8 | 10 |
| 62.0 | 12 |
| 63.1 | 6 |
| 64.8 | 5 |
| 65.1 | 5 |

Crystal structure
Cell lengths 6.552, 6.552, 6.013 Å; angles 102.04, 102.04, 26.50 degrees
Sites, in units of the cell vectors:
Li (0.000, 0.000, 0.000)
Ti (0.318, 0.318, 0.199)
Ti (0.682, 0.682, 0.801)
V (0.000, 0.000, 0.500)
O (0.169, 0.169, 0.601)
O (0.172, 0.172, 0.039)
O (0.481, 0.481, 0.264)
O (0.519, 0.519, 0.736)
O (0.828, 0.828, 0.961)
O (0.831, 0.831, 0.399)